Starting from a DFT-relaxed cell (PBE+U, Alexandria), the XRD peak list of LaNiPO2 was simulated for Cu Kα.

Lattice parameters (Å, degrees): 4.1003 4.1003 4.2778 90.00 90.00 90.00
Space group P4/mmm (No. 123)
Asymmetric unit:
La (0.0000, 0.0000, 0.0000) (multiplicity 1)
Ni (0.5000, 0.5000, 0.5000) (multiplicity 1)
P (0.5000, 0.5000, 0.0000) (multiplicity 1)
O (0.0000, 0.5000, 0.5000) (multiplicity 2)

Principal peaks in the range 2θ from 10° to 90°, in order of rising 2θ:
- 30.19°, intensity 100, (1 0 1)
- 30.84°, intensity 64, (1 1 0)
- 37.47°, intensity 35, (1 1 1)
- 42.25°, intensity 24, (0 0 2)
- 44.18°, intensity 41, (2 0 0)
- 53.22°, intensity 28, (1 1 2)
- 54.44°, intensity 38, (2 1 1)
- 62.78°, intensity 27, (2 0 2)
- 79.94°, intensity 13, (2 2 2)
- 88.10°, intensity 14, (3 1 2)